Starting from the GGA-PBE geometry in Alexandria, the powder diffractogram of ZrMn6Sn6 was calculated for a wavelength of 1.5418 Å.
Peak positions follow from Bragg's law for the DFT cell and can differ from measured ones.

Peak list (10 most intense, 10 to 90 degrees two-theta, most intense first)
two_theta  d (Å)  I (rel.)
33.18  2.700  100
38.96  2.312  79
43.68  2.072  71
35.71  2.515  38
72.39  1.305  37
69.64  1.350  31
40.32  2.237  26
38.50  2.338  24
44.92  2.018  22
59.27  1.559  20

Cell: 5.4004 5.4004 8.9474 Å, 90.00 90.00 120.00°
Fractional positions:
Zr: 0.0000 0.0000 0.0000
Mn: 0.0000 0.5000 0.2476
Mn: 0.0000 0.5000 0.7524
Mn: 0.5000 0.0000 0.2476
Mn: 0.5000 0.0000 0.7524
Mn: 0.5000 0.5000 0.2476
Mn: 0.5000 0.5000 0.7524
Sn: 0.0000 0.0000 0.3279
Sn: 0.0000 0.0000 0.6721
Sn: 0.3333 0.6667 0.0000
Sn: 0.3333 0.6667 0.5000
Sn: 0.6667 0.3333 0.0000
Sn: 0.6667 0.3333 0.5000

=====

Starting from the GGA-PBE geometry in Alexandria, the powder diffractogram of Tb3PS was calculated for a wavelength of 1.5418 Å.
Peak positions follow from Bragg's law for the DFT cell and can differ from measured ones.

Peak list (10 most intense, 10 to 90 degrees two-theta, most intense first)
two_theta  d (Å)  I (rel.)
37.29  2.411  100
27.40  3.255  86
24.80  3.589  31
48.44  1.879  26
62.68  1.482  22
55.17  1.665  21
58.75  1.572  21
82.97  1.164  20
72.88  1.298  16
56.55  1.627  12

Cell: 6.5099 6.5099 3.5894 Å, 90.00 90.00 120.00°
Fractional positions:
Tb: 0.0041 0.3357 0.0000
Tb: 0.3317 0.9959 0.0000
Tb: 0.6643 0.6683 0.0000
P: 0.3333 0.6667 0.5000
S: 0.0000 0.0000 0.5000

=====

Starting from the GGA-PBE geometry in Alexandria, the powder diffractogram of CsAg4Cl7 was calculated for a wavelength of 1.5418 Å.
Peak positions follow from Bragg's law for the DFT cell and can differ from measured ones.

Peak list (10 most intense, 10 to 90 degrees two-theta, most intense first)
two_theta  d (Å)  I (rel.)
23.93  3.719  100
28.99  3.080  100
34.09  2.630  68
35.54  2.526  55
45.34  2.000  54
46.50  1.953  48
58.90  1.568  45
21.44  4.145  41
19.53  4.546  39
50.07  1.822  38

Cell: 10.8843 10.8843 10.8843 Å, 152.04 43.69 147.12°
Fractional positions:
Cs: 0.0000 0.0000 0.0000
Ag: 0.2377 0.4934 0.7444
Ag: 0.3767 0.9986 0.3781
Ag: 0.6205 0.9986 0.6219
Ag: 0.7490 0.4934 0.2556
Cl: 0.1141 0.4915 0.6227
Cl: 0.2454 0.9933 0.2522
Cl: 0.3629 0.4934 0.8695
Cl: 0.4928 0.9928 0.5000
Cl: 0.6239 0.4934 0.1305
Cl: 0.7411 0.9933 0.7478
Cl: 0.8688 0.4915 0.3773

=====

Starting from the GGA-PBE geometry in Alexandria, the powder diffractogram of ScSnHg2 was calculated for a wavelength of 1.5418 Å.
Peak positions follow from Bragg's law for the DFT cell and can differ from measured ones.

Peak list (10 most intense, 10 to 90 degrees two-theta, most intense first)
two_theta  d (Å)  I (rel.)
35.01  2.563  100
39.00  2.309  82
22.86  3.890  66
30.97  2.888  40
53.40  1.716  30
68.08  1.377  30
24.68  3.607  19
60.05  1.541  16
70.65  1.333  15
44.21  2.048  14

Cell: 4.6185 4.6185 16.6949 Å, 90.00 90.00 120.00°
Fractional positions:
Sc: 0.0000 0.0000 0.0000
Sc: 0.3333 0.6667 0.6667
Sc: 0.6667 0.3333 0.3333
Sn: 0.0000 0.0000 0.1908
Sn: 0.3333 0.6667 0.8574
Sn: 0.6667 0.3333 0.5241
Hg: 0.0000 0.0000 0.4169
Hg: 0.0000 0.0000 0.6042
Hg: 0.3333 0.6667 0.0836
Hg: 0.3333 0.6667 0.2709
Hg: 0.6667 0.3333 0.7503
Hg: 0.6667 0.3333 0.9376